Entry 1:
Starting from a structure optimized by DFT (GGA+U), the XRD peak list of Cr3CoTe2P6O24 was simulated for Cu Kα (λ = 1.5418 Å).
Neutral-atom scattering factors, no anomalous dispersion.

Crystal structure
Lattice parameters (Å, degrees): 8.6504 8.6504 21.9201 90.00 90.00 120.00
Space group R3 (No. 146, hexagonal axes)
Asymmetric unit:
Cr1 0.0000 0.0000 0.0000 (multiplicity 3)
Cr2 0.0000 0.0000 0.2102 (multiplicity 3)
Cr3 0.0000 0.0000 0.7065 (multiplicity 3)
Co1 0.0000 0.0000 0.5117 (multiplicity 3)
Te1 0.0000 0.0000 0.3673 (multiplicity 3)
Te2 0.0000 0.0000 0.8582 (multiplicity 3)
P1 0.0405 0.3726 0.2701 (multiplicity 9)
P2 0.0475 0.6695 0.7682 (multiplicity 9)
O1 0.0108 0.8102 0.0432 (multiplicity 9)
O2 0.0123 0.2159 0.5433 (multiplicity 9)
O3 0.0128 0.1791 0.2734 (multiplicity 9)
O4 0.0183 0.8335 0.7689 (multiplicity 9)
O5 0.1355 0.6675 0.8278 (multiplicity 9)
O6 0.1401 0.4651 0.3283 (multiplicity 9)
O7 0.1704 0.4882 0.6045 (multiplicity 9)
O8 0.1708 0.6849 0.0980 (multiplicity 9)

Peak list (10 most intense, 5° ≤ 2θ ≤ 70°, sorted by position)
2θ 14.3, rel. 25; 2θ 20.5, rel. 100; 2θ 23.9, rel. 61; 2θ 25.1, rel. 27; 2θ 32.1, rel. 89; 2θ 36.0, rel. 39; 2θ 46.1, rel. 25; 2θ 48.9, rel. 33; 2θ 56.3, rel. 24; 2θ 62.2, rel. 25

Entry 2:
Starting from a structure optimized by DFT (GGA+U), the XRD peak list of Ti3CrCo2P6O24 was simulated for Cu Kα (λ = 1.5418 Å).
Neutral-atom scattering factors, no anomalous dispersion.

Crystal structure
Lattice parameters (Å, degrees): 8.6399 8.6399 20.9192 90.00 90.00 120.00
Space group R3 (No. 146, hexagonal axes)
Asymmetric unit:
Ti1 0.0000 0.0000 0.0000 (multiplicity 3)
Ti2 0.0000 0.0000 0.2153 (multiplicity 3)
Ti3 0.0000 0.0000 0.5009 (multiplicity 3)
Cr1 0.0000 0.0000 0.7171 (multiplicity 3)
Co1 0.0000 0.0000 0.3572 (multiplicity 3)
Co2 0.0000 0.0000 0.8578 (multiplicity 3)
P1 0.0000 0.2908 0.6089 (multiplicity 9)
P2 0.0412 0.6674 0.7744 (multiplicity 9)
O1 0.0054 0.8148 0.1674 (multiplicity 9)
O2 0.0172 0.1840 0.2776 (multiplicity 9)
O3 0.0222 0.8349 0.7811 (multiplicity 9)
O4 0.1390 0.4696 0.3362 (multiplicity 9)
O5 0.1469 0.4789 0.2149 (multiplicity 9)
O6 0.1465 0.6694 0.7143 (multiplicity 9)
O7 0.1686 0.4806 0.6025 (multiplicity 9)
O8 0.1693 0.6894 0.1025 (multiplicity 9)

Peak list (10 most intense, 5° ≤ 2θ ≤ 70°, sorted by position)
2θ 20.6, rel. 74; 2θ 24.2, rel. 100; 2θ 25.3, rel. 20; 2θ 31.9, rel. 16; 2θ 33.0, rel. 64; 2θ 36.0, rel. 32; 2θ 47.3, rel. 31; 2θ 49.7, rel. 23; 2θ 56.4, rel. 22; 2θ 56.6, rel. 15

Entry 3:
Starting from a structure optimized by DFT (GGA+U), the XRD peak list of CrCo4SbO8 was simulated for Cu Kα (λ = 1.5418 Å).
Neutral-atom scattering factors, no anomalous dispersion.

Crystal structure
Lattice parameters (Å, degrees): 10.533 6.029 6.132 90.00 124.20 90.00
Space group C2/m (No. 12)
Asymmetric unit:
Cr1 0.000 0.000 0.000 (multiplicity 2)
Co1 0.138 0.500 0.402 (multiplicity 4)
Co2 0.250 0.250 0.000 (multiplicity 4)
Sb1 0.000 0.000 0.500 (multiplicity 2)
O1 0.000 0.226 0.253 (multiplicity 8)
O2 0.230 0.000 0.741 (multiplicity 4)
O3 0.232 0.000 0.210 (multiplicity 4)

Peak list (10 most intense, 5° ≤ 2θ ≤ 70°, sorted by position)
2θ 17.9, rel. 67; 2θ 29.4, rel. 38; 2θ 33.8, rel. 22; 2θ 34.2, rel. 88; 2θ 34.6, rel. 100; 2θ 36.2, rel. 22; 2θ 42.0, rel. 34; 2θ 55.6, rel. 39; 2θ 60.0, rel. 32; 2θ 61.1, rel. 32

Entry 4:
Starting from a structure optimized by DFT (GGA+U), the XRD peak list of Cr3Co3Te2O16 was simulated for Cu Kα (λ = 1.5418 Å).
Neutral-atom scattering factors, no anomalous dispersion.

Crystal structure
Lattice parameters (Å, degrees): 10.057 5.838 9.118 90.00 91.56 90.00
Space group Cm (No. 8)
Asymmetric unit:
Cr1 0.000 0.000 0.000 (multiplicity 2)
Cr2 0.415 0.244 0.502 (multiplicity 4)
Co1 0.159 0.500 0.507 (multiplicity 2)
Co2 0.244 0.243 0.006 (multiplicity 4)
Te1 0.001 0.500 0.225 (multiplicity 2)
Te2 0.168 0.000 0.729 (multiplicity 2)
O1 0.001 0.000 0.623 (multiplicity 2)
O2 0.001 0.500 0.611 (multiplicity 2)
O3 0.076 0.282 0.378 (multiplicity 4)
O4 0.094 0.224 0.876 (multiplicity 4)
O5 0.168 0.000 0.107 (multiplicity 2)
O6 0.169 0.500 0.122 (multiplicity 2)
O7 0.248 0.250 0.624 (multiplicity 4)
O8 0.313 0.000 0.888 (multiplicity 2)
O9 0.324 0.500 0.421 (multiplicity 2)
O10 0.326 0.500 0.922 (multiplicity 2)
O11 0.351 0.000 0.368 (multiplicity 2)
O12 0.416 0.251 0.122 (multiplicity 4)

Peak list (10 most intense, 5° ≤ 2θ ≤ 70°, sorted by position)
2θ 20.0, rel. 100; 2θ 20.2, rel. 60; 2θ 20.4, rel. 28; 2θ 26.5, rel. 20; 2θ 34.2, rel. 21; 2θ 36.3, rel. 26; 2θ 36.6, rel. 26; 2θ 36.8, rel. 30; 2θ 37.1, rel. 43; 2θ 64.1, rel. 25

Entry 5:
Starting from a structure optimized by DFT (GGA+U), the XRD peak list of Cs2CoCu3F10 was simulated for Cu Kα (λ = 1.5418 Å).
Neutral-atom scattering factors, no anomalous dispersion.

Crystal structure
Lattice parameters (Å, degrees): 6.838 6.952 7.313 61.69 62.14 65.49
Space group P-1 (No. 2)
Asymmetric unit:
Cs1 0.115 0.121 0.127 (multiplicity 2)
Co1 0.500 0.500 0.000 (multiplicity 1)
Cu1 0.000 0.500 0.500 (multiplicity 1)
Cu2 0.500 0.000 0.500 (multiplicity 1)
Cu3 0.500 0.500 0.500 (multiplicity 1)
F1 0.163 0.552 0.191 (multiplicity 2)
F2 0.212 0.710 0.503 (multiplicity 2)
F3 0.243 0.236 0.581 (multiplicity 2)
F4 0.413 0.427 0.813 (multiplicity 2)
F5 0.451 0.838 0.807 (multiplicity 2)

Peak list (10 most intense, 5° ≤ 2θ ≤ 70°, sorted by position)
2θ 24.4, rel. 100; 2θ 28.0, rel. 91; 2θ 28.2, rel. 85; 2θ 28.5, rel. 45; 2θ 29.5, rel. 57; 2θ 30.2, rel. 60; 2θ 30.5, rel. 46; 2θ 31.4, rel. 92; 2θ 48.8, rel. 52; 2θ 50.1, rel. 61

Entry 6:
Starting from a structure optimized by DFT (GGA+U), the XRD peak list of Cs3CoF6 was simulated for Cu Kα (λ = 1.5418 Å).
Neutral-atom scattering factors, no anomalous dispersion.

Crystal structure
Lattice parameters (Å, degrees): 9.568 9.568 9.568 90.00 90.00 90.00
Space group Fm-3m (No. 225)
Asymmetric unit:
Cs1 0.000 0.000 0.000 (multiplicity 4)
Cs2 0.250 0.250 0.250 (multiplicity 8)
Co1 0.000 0.000 0.500 (multiplicity 4)
F1 0.000 0.000 0.297 (multiplicity 24)

Peak list (10 most intense, 5° ≤ 2θ ≤ 70°, sorted by position)
2θ 26.3, rel. 100; 2θ 31.0, rel. 4; 2θ 32.4, rel. 6; 2θ 37.6, rel. 32; 2θ 41.1, rel. 4; 2θ 46.5, rel. 38; 2θ 49.5, rel. 2; 2θ 54.2, rel. 19; 2θ 61.3, rel. 22; 2θ 67.9, rel. 6

Entry 7:
Starting from a structure optimized by DFT (GGA+U), the XRD peak list of Cs7Co4F15 was simulated for Cu Kα (λ = 1.5418 Å).
Neutral-atom scattering factors, no anomalous dispersion.

Crystal structure
Lattice parameters (Å, degrees): 8.000 11.139 11.796 90.00 92.39 90.00
Space group P2_1/c (No. 14)
Asymmetric unit:
Cs1 0.000 0.000 0.000 (multiplicity 2)
Cs2 0.159 0.154 0.304 (multiplicity 4)
Cs3 0.330 0.002 0.666 (multiplicity 4)
Cs4 0.497 0.182 0.031 (multiplicity 4)
Co1 0.077 0.662 0.928 (multiplicity 4)
Co2 0.262 0.672 0.726 (multiplicity 4)
F1 0.000 0.000 0.500 (multiplicity 2)
F2 0.023 0.603 0.759 (multiplicity 4)
F3 0.148 0.236 0.555 (multiplicity 4)
F4 0.170 0.734 0.082 (multiplicity 4)
F5 0.173 0.690 0.335 (multiplicity 4)
F6 0.311 0.591 0.895 (multiplicity 4)
F7 0.331 0.526 0.641 (multiplicity 4)
F8 0.489 0.747 0.722 (multiplicity 4)

Peak list (10 most intense, 5° ≤ 2θ ≤ 70°, sorted by position)
2θ 24.0, rel. 30; 2θ 24.4, rel. 32; 2θ 24.6, rel. 33; 2θ 27.5, rel. 45; 2θ 27.7, rel. 100; 2θ 36.7, rel. 20; 2θ 37.3, rel. 24; 2θ 37.4, rel. 26; 2θ 47.2, rel. 20; 2θ 57.2, rel. 18

Entry 8:
Starting from a structure optimized by DFT (GGA+U), the XRD peak list of Cs2CoF6 was simulated for Cu Kα (λ = 1.5418 Å).
Neutral-atom scattering factors, no anomalous dispersion.

Crystal structure
Lattice parameters (Å, degrees): 9.051 9.051 9.051 90.00 90.00 90.00
Space group Fm-3m (No. 225)
Asymmetric unit:
Cs1 0.250 0.250 0.250 (multiplicity 8)
Co1 0.000 0.000 0.000 (multiplicity 4)
F1 0.000 0.000 0.201 (multiplicity 24)

Peak list (10 most intense, 5° ≤ 2θ ≤ 70°, sorted by position)
2θ 17.0, rel. 26; 2θ 19.6, rel. 29; 2θ 27.9, rel. 100; 2θ 34.3, rel. 38; 2θ 39.8, rel. 36; 2θ 44.8, rel. 19; 2θ 49.3, rel. 34; 2θ 57.6, rel. 20; 2θ 61.5, rel. 11; 2θ 65.2, rel. 22

Entry 9:
Starting from a structure optimized by DFT (GGA+U), the XRD peak list of CsCoF4 was simulated for Cu Kα (λ = 1.5418 Å).
Neutral-atom scattering factors, no anomalous dispersion.

Crystal structure
Lattice parameters (Å, degrees): 12.547 12.547 13.283 90.00 90.00 90.00
Space group I-4c2 (No. 120)
Asymmetric unit:
Cs1 0.000 0.000 0.250 (multiplicity 4)
Cs2 0.159 0.335 0.327 (multiplicity 16)
Co1 0.000 0.500 0.000 (multiplicity 4)
Co2 0.077 0.210 0.999 (multiplicity 16)
F1 0.000 0.500 0.137 (multiplicity 8)
F2 0.004 0.345 0.499 (multiplicity 16)
F3 0.066 0.147 0.497 (multiplicity 16)
F4 0.076 0.212 0.137 (multiplicity 16)
F5 0.080 0.209 0.862 (multiplicity 16)
F6 0.221 0.279 0.000 (multiplicity 8)

Peak list (10 most intense, 5° ≤ 2θ ≤ 70°, sorted by position)
2θ 24.1, rel. 20; 2θ 25.6, rel. 100; 2θ 26.2, rel. 89; 2θ 26.5, rel. 21; 2θ 30.2, rel. 58; 2θ 31.9, rel. 26; 2θ 35.8, rel. 27; 2θ 40.7, rel. 22; 2θ 51.5, rel. 27; 2θ 67.7, rel. 18

Question: Which formula does entry 5 have?
Answer: Cs2CoCu3F10